(1)
# LiSnPO4
Simulated XRD peak list, CuKα. Input: DFT lattice parameters and positions (PBE).

Peak list (10 most intense, 10° ≤ 2θ ≤ 80°, sorted by position)
2θ 16.59, d = 5.342 Å, I = 30.8, hkl 0 0 2; 2θ 23.17, d = 3.838 Å, I = 100.0, hkl 1 1 1; 2θ 24.27, d = 3.668 Å, I = 64.3, hkl 0 2 0; 2θ 27.37, d = 3.259 Å, I = 26.5, hkl 1 1 2; 2θ 33.28, d = 2.692 Å, I = 59.7, hkl 1 1 3; 2θ 35.78, d = 2.510 Å, I = 21.6, hkl 0 1 4; 2θ 42.03, d = 2.150 Å, I = 26.3, hkl 1 3 1; 2θ 44.89, d = 2.019 Å, I = 21.3, hkl 2 2 1; 2θ 48.75, d = 1.868 Å, I = 19.6, hkl 1 3 3; 2θ 52.91, d = 1.731 Å, I = 18.4, hkl 0 1 6

Atomic structure:
Unit cell a=4.9666 b=7.3360 c=10.6843 alpha=90.00 beta=90.00 gamma=90.00
Positions (direct):
Li: 0.0900 0.2377 0.2681
Li: 0.4100 0.7623 0.7681
Li: 0.5900 0.2623 0.7319
Li: 0.9100 0.7377 0.2319
Sn: 0.0682 0.9931 0.5339
Sn: 0.4318 0.0069 0.0339
Sn: 0.5682 0.5069 0.4661
Sn: 0.9318 0.4931 0.9661
P: 0.1501 0.4776 0.6717
P: 0.3499 0.5224 0.1717
P: 0.6501 0.0224 0.3283
P: 0.8499 0.9776 0.8283
O: 0.1559 0.9522 0.8268
O: 0.1999 0.6828 0.1031
O: 0.2354 0.5049 0.3080
O: 0.2469 0.6535 0.5998
O: 0.2531 0.3465 0.0998
O: 0.2646 0.4951 0.8080
O: 0.3001 0.3172 0.6031
O: 0.3441 0.0478 0.3268
O: 0.6559 0.5478 0.1732
O: 0.6999 0.8172 0.8969
O: 0.7354 0.9951 0.6920
O: 0.7469 0.8465 0.4002
O: 0.7531 0.1535 0.9002
O: 0.7646 0.0049 0.1920
O: 0.8001 0.1828 0.3969
O: 0.8441 0.4522 0.6732

***

(2)
# LiSnPO4
Simulated XRD peak list, CuKα. Input: DFT lattice parameters and positions (PBE).

Peak list (10 most intense, 10° ≤ 2θ ≤ 80°, sorted by position)
2θ 12.69, d = 6.977 Å, I = 61.4, hkl 0 1 -1; 2θ 16.66, d = 5.322 Å, I = 59.9, hkl 0 1 1; 2θ 18.18, d = 4.879 Å, I = 68.9, hkl 1 0 -1; 2θ 19.81, d = 4.482 Å, I = 100.0, hkl 1 0 1; 2θ 24.10, d = 3.694 Å, I = 60.2, hkl 1 -2 0; 2θ 26.77, d = 3.330 Å, I = 49.7, hkl 0 2 1; 2θ 27.20, d = 3.278 Å, I = 63.1, hkl -1 1 2; 2θ 31.11, d = 2.875 Å, I = 42.5, hkl 1 2 0; 2θ 32.01, d = 2.796 Å, I = 60.5, hkl 0 2 -3; 2θ 32.83, d = 2.728 Å, I = 43.6, hkl 1 -3 1

Atomic structure:
Unit cell a=5.6281 b=8.5002 c=9.4366 alpha=104.56 beta=91.76 gamma=103.97
Positions (direct):
Li: 0.1273 0.0110 0.3723
Li: 0.2475 0.5645 0.1837
Li: 0.7525 0.4355 0.8163
Li: 0.8727 0.9890 0.6277
Sn: 0.2048 0.3995 0.6143
Sn: 0.2181 0.8631 0.9124
Sn: 0.7819 0.1369 0.0876
Sn: 0.7952 0.6005 0.3857
P: 0.1968 0.2561 0.9016
P: 0.2772 0.7657 0.5482
P: 0.7228 0.2343 0.4518
P: 0.8032 0.7439 0.0984
O: 0.0496 0.3460 0.8178
O: 0.0678 0.0599 0.8408
O: 0.0925 0.8642 0.5119
O: 0.1452 0.3048 0.0688
O: 0.1930 0.7073 0.6911
O: 0.2031 0.5964 0.4200
O: 0.4530 0.1479 0.4318
O: 0.4676 0.3005 0.8794
O: 0.5324 0.6995 0.1206
O: 0.5470 0.8521 0.5682
O: 0.7969 0.4036 0.5800
O: 0.8070 0.2927 0.3089
O: 0.8548 0.6952 0.9312
O: 0.9075 0.1358 0.4881
O: 0.9322 0.9401 0.1592
O: 0.9504 0.6540 0.1822

***

(3)
# Li2Sn3P4O14
Simulated XRD peak list, CuKα. Input: DFT lattice parameters and positions (PBE).

Peak list (10 most intense, 10° ≤ 2θ ≤ 80°, sorted by position)
2θ 12.40, d = 7.138 Å, I = 62.9, hkl 1 0 0; 2θ 15.67, d = 5.656 Å, I = 100.0, hkl 1 1 -1; 2θ 19.85, d = 4.472 Å, I = 37.8, hkl 1 1 -2; 2θ 24.26, d = 3.669 Å, I = 42.1, hkl 1 0 2; 2θ 25.76, d = 3.458 Å, I = 56.7, hkl 1 2 1; 2θ 25.88, d = 3.443 Å, I = 49.1, hkl 1 2 -2; 2θ 26.09, d = 3.415 Å, I = 48.9, hkl 1 1 2; 2θ 29.95, d = 2.983 Å, I = 58.0, hkl 0 3 1; 2θ 30.58, d = 2.923 Å, I = 40.8, hkl 2 1 1; 2θ 30.86, d = 2.898 Å, I = 42.4, hkl 2 1 -3

Atomic structure:
Unit cell a=7.5695 b=9.3409 c=11.0574 alpha=90.00 beta=109.43 gamma=90.00
Positions (direct):
Li: 0.2185 0.0034 0.2900
Li: 0.2185 0.4966 0.7900
Li: 0.7815 0.5034 0.2100
Li: 0.7815 0.9966 0.7100
Sn: 0.0000 0.0000 0.5000
Sn: 0.0000 0.5000 0.0000
Sn: 0.2106 0.6411 0.4982
Sn: 0.2106 0.8589 0.9982
Sn: 0.7894 0.1411 0.0018
Sn: 0.7894 0.3589 0.5018
P: 0.1208 0.1737 0.8199
P: 0.1208 0.3263 0.3199
P: 0.4130 0.5104 0.2807
P: 0.4130 0.9896 0.7807
P: 0.5870 0.0104 0.2193
P: 0.5870 0.4896 0.7193
P: 0.8792 0.6737 0.6801
P: 0.8792 0.8263 0.1801
O: 0.0302 0.6372 0.8095
O: 0.0302 0.8628 0.3095
O: 0.0941 0.0724 0.9240
O: 0.0941 0.4276 0.4240
O: 0.1269 0.1686 0.3559
O: 0.1269 0.3314 0.8559
O: 0.3201 0.5491 0.1405
O: 0.3201 0.9509 0.6405
O: 0.3249 0.1425 0.8081
O: 0.3249 0.3575 0.3081
O: 0.3766 0.5260 0.6864
O: 0.3766 0.9740 0.1864
O: 0.3844 0.6179 0.3776
O: 0.3844 0.8821 0.8776
O: 0.6156 0.1179 0.1224
O: 0.6156 0.3821 0.6224
O: 0.6234 0.0260 0.8136
O: 0.6234 0.4740 0.3136
O: 0.6751 0.6425 0.6919
O: 0.6751 0.8575 0.1919
O: 0.6799 0.0491 0.3595
O: 0.6799 0.4509 0.8595
O: 0.8731 0.6686 0.1441
O: 0.8731 0.8314 0.6441
O: 0.9059 0.5724 0.5760
O: 0.9059 0.9276 0.0760
O: 0.9698 0.1372 0.6905
O: 0.9698 0.3628 0.1905